Starting from a structure optimized by DFT (PBE+U), the PXRD pattern of Li2FePCO7 was simulated for CuKα.
No peak broadening, texture or thermal motion is included.

Crystal structure
Unit cell a=5.0597 b=10.1576 c=11.0161 alpha=74.28 beta=88.03 gamma=83.06
Positions (direct):
Li (0.1306, 0.3813, 0.3982)
Li (0.2139, 0.1007, 0.6502)
Li (0.2368, 0.5883, 0.1558)
Li (0.2769, 0.9477, 0.1334)
Li (0.7231, 0.0523, 0.8666)
Li (0.7632, 0.4117, 0.8442)
Li (0.7861, 0.8993, 0.3498)
Li (0.8694, 0.6187, 0.6018)
Fe (0.3117, 0.2926, 0.0458)
Fe (0.3134, 0.7951, 0.5505)
Fe (0.6866, 0.2049, 0.4495)
Fe (0.6883, 0.7074, 0.9542)
P (0.2258, 0.5895, 0.8333)
P (0.2268, 0.0882, 0.3310)
P (0.7732, 0.9118, 0.6690)
P (0.7742, 0.4105, 0.1667)
C (0.1718, 0.1690, 0.8906)
C (0.2460, 0.6509, 0.4044)
C (0.7540, 0.3491, 0.5956)
C (0.8282, 0.8310, 0.1094)
O (0.0118, 0.2541, 0.9370)
O (0.0457, 0.7286, 0.4450)
O (0.0687, 0.9232, 0.6276)
O (0.0734, 0.4172, 0.1257)
O (0.0894, 0.1023, 0.8201)
O (0.2017, 0.5731, 0.3370)
O (0.2272, 0.6288, 0.6871)
O (0.2558, 0.1177, 0.1861)
O (0.3304, 0.2038, 0.3783)
O (0.3497, 0.6968, 0.8818)
O (0.3840, 0.4454, 0.8871)
O (0.3940, 0.9476, 0.3903)
O (0.4202, 0.1535, 0.9288)
O (0.4782, 0.6640, 0.4430)
O (0.5218, 0.3360, 0.5570)
O (0.5798, 0.8465, 0.0712)
O (0.6060, 0.0524, 0.6097)
O (0.6160, 0.5546, 0.1129)
O (0.6503, 0.3032, 0.1182)
O (0.6696, 0.7962, 0.6217)
O (0.7442, 0.8823, 0.8139)
O (0.7728, 0.3712, 0.3129)
O (0.7983, 0.4269, 0.6630)
O (0.9106, 0.8977, 0.1799)
O (0.9266, 0.5828, 0.8743)
O (0.9313, 0.0768, 0.3724)
O (0.9543, 0.2714, 0.5550)
O (0.9882, 0.7459, 0.0630)

Top 6 peaks for 15 to 90 degrees two-theta, by angle:
2θ/deg  I_rel
16.7  29
18.3  28
19.7  46
21.5  73
26.3  46
28.1  100

***

Starting from a structure optimized by DFT (PBE+U), the PXRD pattern of Ga2NiP3H8NO14 was simulated for CuKα.
No peak broadening, texture or thermal motion is included.

Crystal structure
Unit cell a=8.4327 b=8.4327 c=9.0206 alpha=104.22 beta=104.22 gamma=74.39
Positions (direct):
Ga (0.0981, 0.2462, 0.0684)
Ga (0.2462, 0.0981, 0.5684)
Ga (0.7538, 0.9019, 0.4316)
Ga (0.9019, 0.7538, 0.9316)
Ni (0.2755, 0.7245, 0.7500)
Ni (0.7245, 0.2755, 0.2500)
P (0.0008, 0.9992, 0.7500)
P (0.1659, 0.4176, 0.8227)
P (0.4176, 0.1659, 0.3227)
P (0.5824, 0.8341, 0.6773)
P (0.8341, 0.5824, 0.1773)
P (0.9992, 0.0008, 0.2500)
H (0.0802, 0.6320, 0.4564)
H (0.2241, 0.4781, 0.5066)
H (0.2486, 0.6351, 0.1834)
H (0.3649, 0.7514, 0.3166)
H (0.3680, 0.9198, 0.0436)
H (0.3970, 0.5432, 0.3188)
H (0.4568, 0.6030, 0.1812)
H (0.4781, 0.2241, 0.0066)
H (0.5219, 0.7759, 0.9934)
H (0.5432, 0.3970, 0.8188)
H (0.6030, 0.4568, 0.6812)
H (0.6320, 0.0802, 0.9564)
H (0.6351, 0.2486, 0.6834)
H (0.7514, 0.3649, 0.8166)
H (0.7759, 0.5219, 0.4934)
H (0.9198, 0.3680, 0.5436)
N (0.3667, 0.6333, 0.2500)
N (0.6333, 0.3667, 0.7500)
O (0.0075, 0.4651, 0.1567)
O (0.0274, 0.8302, 0.8038)
O (0.0327, 0.8479, 0.1171)
O (0.1172, 0.2985, 0.6625)
O (0.1521, 0.9673, 0.3829)
O (0.1698, 0.9726, 0.6962)
O (0.1940, 0.6016, 0.5197)
O (0.2347, 0.3160, 0.9562)
O (0.2985, 0.1172, 0.1625)
O (0.3019, 0.5043, 0.8185)
O (0.3160, 0.2347, 0.4562)
O (0.3984, 0.8060, 0.9803)
O (0.4651, 0.0075, 0.6567)
O (0.4957, 0.6981, 0.6815)
O (0.5043, 0.3019, 0.3185)
O (0.5349, 0.9925, 0.3433)
O (0.6016, 0.1940, 0.0197)
O (0.6840, 0.7653, 0.5438)
O (0.6981, 0.4957, 0.1815)
O (0.7015, 0.8828, 0.8375)
O (0.7653, 0.6840, 0.0438)
O (0.8060, 0.3984, 0.4803)
O (0.8302, 0.0274, 0.3038)
O (0.8479, 0.0327, 0.6171)
O (0.8828, 0.7015, 0.3375)
O (0.9673, 0.1521, 0.8829)
O (0.9726, 0.1698, 0.1962)
O (0.9925, 0.5349, 0.8433)

Top 6 peaks for 15 to 90 degrees two-theta, by angle:
2θ/deg  I_rel
16.6  100
26.4  17
27.2  18
28.4  66
29.3  56
33.3  20

***

Starting from a structure optimized by DFT (PBE+U), the PXRD pattern of Fe3OF5 was simulated for CuKα.
No peak broadening, texture or thermal motion is included.

Crystal structure
Unit cell a=5.7936 b=4.7826 c=8.0869 alpha=90.00 beta=92.17 gamma=90.00
Positions (direct):
Fe (0.0624, 0.0000, 0.3256)
Fe (0.2538, 0.4866, 0.9859)
Fe (0.4140, 0.9647, 0.6669)
Fe (0.5860, 0.4647, 0.3331)
Fe (0.7462, 0.9866, 0.0141)
Fe (0.9376, 0.5000, 0.6744)
O (0.2055, 0.6693, 0.7538)
O (0.7945, 0.1693, 0.2462)
F (0.0543, 0.7664, 0.1160)
F (0.1099, 0.1877, 0.5505)
F (0.2782, 0.2703, 0.2281)
F (0.3666, 0.7906, 0.4163)
F (0.4542, 0.1740, 0.8990)
F (0.5458, 0.6740, 0.1010)
F (0.6334, 0.2906, 0.5837)
F (0.7218, 0.7703, 0.7719)
F (0.8901, 0.6877, 0.4495)
F (0.9457, 0.2664, 0.8840)

Top 6 peaks for 15 to 90 degrees two-theta, by angle:
2θ/deg  I_rel
26.3  100
33.3  58
38.4  20
51.1  65
54.2  19
63.4  13

***

Starting from a structure optimized by DFT (PBE+U), the PXRD pattern of MgMn6O8F4 was simulated for CuKα.
No peak broadening, texture or thermal motion is included.

Crystal structure
Unit cell a=4.9979 b=5.0079 c=8.9324 alpha=89.27 beta=89.52 gamma=88.95
Positions (direct):
Mg (0.0000, 0.0000, 0.0000)
Mn (0.0144, 0.5100, 0.3432)
Mn (0.0437, 0.4671, 0.6781)
Mn (0.4869, 0.9463, 0.1907)
Mn (0.5080, 0.9787, 0.8293)
Mn (0.5542, 0.0349, 0.5002)
Mn (0.9846, 0.5140, 0.9991)
O (0.1457, 0.7121, 0.1574)
O (0.1673, 0.7207, 0.8467)
O (0.3490, 0.1887, 0.3385)
O (0.3648, 0.1861, 0.6702)
O (0.6657, 0.8003, 0.0085)
O (0.7025, 0.7969, 0.3456)
O (0.8612, 0.2737, 0.8478)
O (0.8643, 0.3140, 0.5111)
F (0.2209, 0.6863, 0.5211)
F (0.3284, 0.1976, 0.0185)
F (0.7213, 0.7988, 0.6610)
F (0.8496, 0.2613, 0.1554)

Top 6 peaks for 15 to 90 degrees two-theta, by angle:
2θ/deg  I_rel
24.9  100
25.4  96
34.9  48
35.2  40
50.4  31
51.2  67

***

Starting from a structure optimized by DFT (PBE+U), the PXRD pattern of Ba2SnWO6 was simulated for CuKα.
No peak broadening, texture or thermal motion is included.

Crystal structure
Unit cell a=6.1676 b=6.1676 c=6.1676 alpha=60.00 beta=60.00 gamma=60.00
Positions (direct):
Ba (0.2500, 0.2500, 0.2500)
Ba (0.7500, 0.7500, 0.7500)
Sn (0.0000, 0.0000, 0.0000)
W (0.5000, 0.5000, 0.5000)
O (0.2754, 0.2754, 0.7246)
O (0.2754, 0.7246, 0.2754)
O (0.2754, 0.7246, 0.7246)
O (0.7246, 0.2754, 0.2754)
O (0.7246, 0.2754, 0.7246)
O (0.7246, 0.7246, 0.2754)

Top 6 peaks for 15 to 90 degrees two-theta, by angle:
2θ/deg  I_rel
29.0  100
41.4  29
51.3  41
60.0  18
68.0  19
82.8  23